Diffraction record for RbBa2MoO5. The XRD peak list is theoretical, not measured: it uses a DFT-relaxed cell (GGA+U, Alexandria) and λ = 1.5418 Å (Cu Kα).
Kinematic intensities with the Lorentz-polarization factor, no thermal factor.

```
18
Lattice="7.498 0.000 0.000 0.000 7.498 0.000 0.000 0.000 6.375" Properties=species:S:1:pos:R:3 pbc="T T T"
Rb 0.000 0.000 0.000
Rb 3.749 3.749 0.000
Ba 1.392 2.358 3.188
Ba 2.358 6.107 3.188
Ba 5.141 1.392 3.188
Ba 6.107 5.141 3.188
Mo 0.000 3.749 0.000
Mo 3.749 0.000 0.000
O 0.000 0.000 3.188
O 0.936 4.685 1.358
O 0.936 4.685 5.018
O 2.813 0.936 1.358
O 2.813 0.936 5.018
O 3.749 3.749 3.188
O 4.685 6.563 1.358
O 4.685 6.563 5.018
O 6.563 2.813 1.358
O 6.563 2.813 5.018
```

Main lines, in order of rising 2θ (2θ from 10° to 90°):
| d [Å] | I (rel.) | h k l |
| --- | --- | --- |
| 3.232 | 100.0 | 2 0 1 |
| 3.188 | 32.1 | 0 0 2 |
| 2.968 | 45.4 | 2 1 1 |
| 2.651 | 25.7 | 2 2 0 |
| 2.310 | 30.1 | 2 1 2 |
| 2.038 | 23.3 | 2 2 2 |